Record 1
Li5Mn3O8: computed X-ray powder pattern (a wavelength of 1.5418 Å), based on a DFT-relaxed cell (GGA+U, the Materials Project).

Cell and atoms:
```
data_Li5Mn3O8
_chemical_formula_sum 'Li5 Mn3 O8'
_cell_length_a 2.967
_cell_length_b 5.115
_cell_length_c 9.876
_cell_angle_alpha 78.81
_cell_angle_beta 88.41
_cell_angle_gamma 88.20
_symmetry_space_group_name_H-M 'P -1'
_symmetry_Int_Tables_number 2
loop_
_symmetry_equiv_pos_as_xyz
'x,y,z'
'-x,-y,-z'
loop_
_atom_site_label
_atom_site_fract_x
_atom_site_fract_y
_atom_site_fract_z
Li1 0.000 0.000 0.000
Li2 0.016 0.748 0.772
Li3 0.495 0.219 0.777
Mn1 0.000 0.500 0.500
Mn2 0.500 0.000 0.500
Mn3 0.500 0.500 0.000
O1 0.011 0.388 0.890
O2 0.043 0.144 0.614
O3 0.485 0.627 0.607
O4 0.499 0.845 0.881
```

Top 10 peaks for 2θ = 10–90°, sorted by position:
index, Position (°2θ), I/Imax
0 1 0, 17.68, 109
0 0 2, 18.31, 1000
1 1 1, 34.88, 131
0 2 0, 35.82, 118
-1 1 1, 36.08, 108
1 1 3, 42.13, 309
-1 1 3, 43.75, 546
1 3 1, 61.97, 86
0 2 6, 62.07, 78
2 0 0, 62.70, 149

=====

Record 2
CoBP2HPbO9: computed X-ray powder pattern (a wavelength of 1.5418 Å), based on a DFT-relaxed cell (GGA+U, the Materials Project).

Cell and atoms:
```
data_CoBP2HPbO9
_chemical_formula_sum 'Co2 B2 P4 H2 Pb2 O18'
_cell_length_a 5.282
_cell_length_b 7.879
_cell_length_c 8.482
_cell_angle_alpha 89.96
_cell_angle_beta 80.22
_cell_angle_gamma 87.66
_symmetry_space_group_name_H-M 'P -1'
_symmetry_Int_Tables_number 2
loop_
_symmetry_equiv_pos_as_xyz
'x,y,z'
'-x,-y,-z'
loop_
_atom_site_label
_atom_site_fract_x
_atom_site_fract_y
_atom_site_fract_z
Co1 0.233 0.298 0.199
B1 0.384 0.250 0.543
P1 0.271 0.434 0.822
P2 0.312 0.930 0.699
H1 0.037 0.350 0.500
Pb1 0.221 0.805 0.089
O1 0.008 0.529 0.205
O2 0.067 0.881 0.813
O3 0.212 0.330 0.442
O4 0.243 0.105 0.626
O5 0.267 0.287 0.946
O6 0.368 0.799 0.556
O7 0.400 0.593 0.870
O8 0.449 0.366 0.665
O9 0.457 0.064 0.214
```

Top 10 peaks for 2θ = 10–90°, sorted by position:
index, Position (°2θ), I/Imax
0 0 1, 10.58, 1000
0 2 0, 22.59, 194
1 1 -1, 24.05, 206
1 0 2, 24.95, 307
1 -1 2, 27.69, 216
1 2 1, 28.84, 244
1 -2 0, 29.01, 212
-1 2 1, 32.04, 264
0 1 3, 34.20, 222
2 0 1, 34.32, 222

=====

Record 3
ScMn2O5: computed X-ray powder pattern (a wavelength of 1.5418 Å), based on a DFT-relaxed cell (GGA+U, the Materials Project).

Cell and atoms:
```
data_ScMn2O5
_chemical_formula_sum 'Sc4 Mn8 O20'
_cell_length_a 3.991
_cell_length_b 9.764
_cell_length_c 9.891
_cell_angle_alpha 90.00
_cell_angle_beta 90.00
_cell_angle_gamma 90.00
_symmetry_space_group_name_H-M 'C m c m'
_symmetry_Int_Tables_number 63
_symmetry_space_group_name_Hall '-C 2c 2'
loop_
_atom_site_label
_atom_site_fract_x
_atom_site_fract_y
_atom_site_fract_z
Sc1 0.000 0.204 0.250
Mn1 0.000 0.138 0.556
O1 0.000 0.048 0.115
O2 0.000 0.219 0.750
O3 0.000 0.312 0.054
```

Top 10 peaks for 2θ = 10–90°, sorted by position:
index, Position (°2θ), I/Imax
0 0 2, 17.94, 259
0 2 0, 18.17, 401
1 1 0, 24.09, 1000
0 2 3, 32.78, 524
1 3 0, 35.59, 229
1 1 3, 36.53, 242
0 4 2, 41.24, 222
2 0 0, 45.45, 384
1 5 2, 55.59, 167
2 2 3, 57.16, 188